(1)
Calculated X-ray diffraction stick pattern
Compound: K3CuO2
Radiation: a wavelength of 1.5418 Å
Structure: a crystal structure in Alexandria, relaxed with GGA-PBE

Top 12 peaks for 15° ≤ 2θ ≤ 90°, sorted by position:
index	d (Å)	2θ (°)	intensity
1 0 3	3.994	22.26	19
2 2 0	3.068	29.10	51
2 2 1	2.992	29.86	13
2 1 3	2.939	30.42	39
3 0 1	2.829	31.63	18
2 0 4	2.663	33.65	100
1 0 5	2.578	34.81	33
3 1 2	2.542	35.30	18
3 0 3	2.433	36.94	23
3 2 1	2.370	37.97	15
4 0 0	2.170	41.63	23
4 1 3	1.907	47.70	17

Crystal structure
a b c (Å): 8.6786 8.6786 13.4967
angles (deg): 90.00 90.00 90.00
Space group P4_12_12 (No. 92)
One atom of each set of equivalent atoms:
K 0.0249 0.0249 0.0000 x4
K 0.0336 0.4359 0.0010 x8
K 0.0566 0.9434 0.2500 x4
K 0.1572 0.7342 0.8581 x8
Cu 0.2345 0.2356 0.1657 x8
O 0.0248 0.2364 0.1662 x8
O 0.0564 0.7325 0.0793 x8

***

(2)
Calculated X-ray diffraction stick pattern
Compound: K2Cu2O3
Radiation: a wavelength of 1.5418 Å
Structure: a crystal structure in Alexandria, relaxed with GGA-PBE

Top 12 peaks for 15° ≤ 2θ ≤ 90°, sorted by position:
index	d (Å)	2θ (°)	intensity
0 1 -1	4.521	19.63	100
0 0 2	3.156	28.28	39
0 2 0	3.086	28.93	44
0 1 -2	2.866	31.21	29
0 2 -1	2.826	31.66	56
0 1 2	2.758	32.47	34
1 -1 0	2.639	33.97	38
1 1 -1	2.628	34.12	38
0 2 -2	2.261	39.88	31
1 1 1	2.240	40.26	50
1 0 2	1.925	47.20	38
-1 2 2	1.887	48.22	28

Crystal structure
a b c (Å): 2.9765 6.1787 6.4906
angles (deg): 92.58 103.18 90.29
Space group P-1 (No. 2)
One atom of each set of equivalent atoms:
K 0.1621 0.2040 0.3270 x2
Cu 0.4129 0.3421 0.8283 x2
O 0.0000 0.5000 0.0000 x1
O 0.1649 0.7788 0.3254 x2

***

(3)
Calculated X-ray diffraction stick pattern
Compound: K3Cu2O3
Radiation: a wavelength of 1.5418 Å
Structure: a crystal structure in Alexandria, relaxed with GGA-PBE

Top 12 peaks for 15° ≤ 2θ ≤ 90°, sorted by position:
index	d (Å)	2θ (°)	intensity
0 2 2	4.820	18.41	45
0 2 3	3.908	22.76	42
0 2 4	3.212	27.77	100
0 4 1	3.089	28.91	42
0 2 5	2.699	33.20	33
1 1 3	2.690	33.31	36
0 4 3	2.666	33.62	38
1 3 2	2.455	36.60	36
1 3 3	2.304	39.10	71
1 3 4	2.133	42.38	30
1 5 0	2.007	45.18	33
1 1 7	1.774	51.52	38

Crystal structure
a b c (Å): 3.3054 12.6285 14.9247
angles (deg): 90.00 90.00 90.00
Space group Cmcm (No. 63)
One atom of each set of equivalent atoms:
K 0.0000 0.0325 0.1275 x8
K 0.0000 0.2643 0.2500 x4
Cu 0.0000 0.1989 0.5427 x8
O 0.0000 0.3549 0.0775 x8
O 0.0000 0.3968 0.7500 x4